The following is a theoretical powder XRD pattern of Fe2C3O9. It was derived from a structure optimized by DFT (PBE+U), using Cu Ka.
Intensities are scaled so that the largest is 100.

Structural model:
```
data_Fe2C3O9
_symmetry_space_group_name_H-M 'R 3'
_symmetry_Int_Tables_number 146
_symmetry_space_group_name_Hall 'R 3'
_cell_length_a 12.4456
_cell_length_b 12.4456
_cell_length_c 7.7512
_cell_angle_alpha 90.00
_cell_angle_beta 90.00
_cell_angle_gamma 120.00
loop_
_atom_site_label
_atom_site_type_symbol
_atom_site_fract_x
_atom_site_fract_y
_atom_site_fract_z
Fe1 Fe 0.0000 0.0000 0.0000
Fe2 Fe 0.1250 0.7483 0.4610
C1 C 0.0507 0.1822 0.6691
C2 C 0.1368 0.6689 0.8158
O1 O 0.0159 0.7214 0.2378
O2 O 0.0571 0.9059 0.8034
O3 O 0.0652 0.9175 0.1682
O4 O 0.0983 0.8839 0.5300
O5 O 0.1527 0.4335 0.3401
O6 O 0.1838 0.7595 0.7049
```

Top 12 peaks for 10° ≤ 2θ ≤ 80°, sorted by position:
Position (°2θ)  d_spacing  I/Imax
14.07  6.293  65
14.23  6.223  100
20.07  4.425  100
28.37  3.146  11
31.87  2.808  33
32.09  2.789  37
37.70  2.386  15
38.01  2.367  13
38.24  2.353  51
43.41  2.085  14
52.62  1.739  23
53.03  1.727  17

The following is a theoretical powder XRD pattern of Fe2C2O7. It was derived from a structure optimized by DFT (PBE+U), using Cu Ka.
Intensities are scaled so that the largest is 100.

Structural model:
```
data_Fe2C2O7
_symmetry_space_group_name_H-M 'P -1'
_symmetry_Int_Tables_number 2
_cell_length_a 4.9581
_cell_length_b 4.9731
_cell_length_c 16.2420
_cell_angle_alpha 87.37
_cell_angle_beta 85.19
_cell_angle_gamma 60.13
loop_
_symmetry_equiv_pos_as_xyz
'x,y,z'
'-x,-y,-z'
loop_
_atom_site_label
_atom_site_type_symbol
_atom_site_fract_x
_atom_site_fract_y
_atom_site_fract_z
Fe1 Fe 0.0334 0.3456 0.3608
Fe2 Fe 0.1188 0.3445 0.1363
C1 C 0.1975 0.9940 0.9022
C2 C 0.3122 0.9928 0.6003
O1 O 0.0576 0.0173 0.0980
O2 O 0.0604 0.2586 0.5958
O3 O 0.0677 0.3624 0.2485
O4 O 0.1836 0.2595 0.9079
O5 O 0.2990 0.7399 0.6044
O6 O 0.4208 0.0192 0.4003
O7 O 0.4631 0.7413 0.8978
```

Top 12 peaks for 10° ≤ 2θ ≤ 80°, sorted by position:
Position (°2θ)  d_spacing  I/Imax
20.72  4.287  83
21.32  4.167  47
21.97  4.046  100
22.76  3.908  16
29.23  3.056  11
31.49  2.841  16
36.35  2.471  45
42.13  2.145  14
44.55  2.034  10
44.96  2.016  9
56.65  1.625  9
65.13  1.432  10

The following is a theoretical powder XRD pattern of Fe3PbC4O12. It was derived from a structure optimized by DFT (PBE+U), using Cu Ka.
Intensities are scaled so that the largest is 100.

Structural model:
```
data_Fe3PbC4O12
_symmetry_space_group_name_H-M 'R 3 2'
_symmetry_Int_Tables_number 155
_symmetry_space_group_name_Hall 'R 3 2"'
_cell_length_a 9.8106
_cell_length_b 9.8106
_cell_length_c 8.2615
_cell_angle_alpha 90.00
_cell_angle_beta 90.00
_cell_angle_gamma 120.00
loop_
_atom_site_label
_atom_site_type_symbol
_atom_site_fract_x
_atom_site_fract_y
_atom_site_fract_z
Fe1 Fe 0.0000 0.5411 0.0000
Pb1 Pb 0.0000 0.0000 0.0000
C1 C 0.0000 0.0000 0.5000
C2 C 0.0000 0.4575 0.5000
O1 O 0.0000 0.5905 0.5000
O2 O 0.0000 0.8672 0.5000
O3 O 0.0057 0.2080 0.1887
```

Top 12 peaks for 10° ≤ 2θ ≤ 80°, sorted by position:
Position (°2θ)  d_spacing  I/Imax
14.96  5.923  42
18.08  4.905  27
23.55  3.778  61
23.95  3.715  15
29.85  2.993  26
30.18  2.962  100
35.41  2.535  20
36.64  2.453  27
39.78  2.266  15
44.02  2.057  18
49.07  1.856  32
49.78  1.832  29

The following is a theoretical powder XRD pattern of RbFe2C2O7. It was derived from a structure optimized by DFT (PBE+U), using Cu Ka.
Intensities are scaled so that the largest is 100.

Structural model:
```
data_RbFe2C2O7
_symmetry_space_group_name_H-M 'R 3 2'
_symmetry_Int_Tables_number 155
_symmetry_space_group_name_Hall 'R 3 2"'
_cell_length_a 5.1237
_cell_length_b 5.1237
_cell_length_c 28.1528
_cell_angle_alpha 90.00
_cell_angle_beta 90.00
_cell_angle_gamma 120.00
loop_
_atom_site_label
_atom_site_type_symbol
_atom_site_fract_x
_atom_site_fract_y
_atom_site_fract_z
Rb1 Rb 0.0000 0.0000 0.0000
Fe1 Fe 0.0000 0.0000 0.4354
C1 C 0.0000 0.0000 0.2604
O1 O 0.0000 0.0000 0.5000
O2 O 0.0406 0.2709 0.2615
```

Top 12 peaks for 10° ≤ 2θ ≤ 80°, sorted by position:
Position (°2θ)  d_spacing  I/Imax
18.91  4.692  27
20.26  4.383  18
20.99  4.232  83
23.70  3.754  90
25.56  3.485  39
29.99  2.980  100
35.03  2.562  67
41.19  2.192  36
45.78  1.982  44
55.15  1.665  27
56.24  1.636  18
59.74  1.548  21

The following is a theoretical powder XRD pattern of SmFe3C4O12. It was derived from a structure optimized by DFT (PBE+U), using Cu Ka.
Intensities are scaled so that the largest is 100.

Structural model:
```
data_SmFe3C4O12
_symmetry_space_group_name_H-M 'R 3 2'
_symmetry_Int_Tables_number 155
_symmetry_space_group_name_Hall 'R 3 2"'
_cell_length_a 9.7256
_cell_length_b 9.7256
_cell_length_c 8.1370
_cell_angle_alpha 90.00
_cell_angle_beta 90.00
_cell_angle_gamma 120.00
loop_
_atom_site_label
_atom_site_type_symbol
_atom_site_fract_x
_atom_site_fract_y
_atom_site_fract_z
Sm1 Sm 0.0000 0.0000 0.0000
Fe1 Fe 0.0000 0.5393 0.0000
C1 C 0.0000 0.0000 0.5000
C2 C 0.0000 0.4593 0.5000
O1 O 0.0000 0.5931 0.5000
O2 O 0.0000 0.8663 0.5000
O3 O 0.0073 0.2048 0.1726
```

Top 12 peaks for 10° ≤ 2θ ≤ 80°, sorted by position:
Position (°2θ)  d_spacing  I/Imax
15.14  5.852  24
18.24  4.863  16
23.79  3.740  54
30.14  2.965  19
30.55  2.926  100
35.82  2.507  12
36.97  2.431  25
44.44  2.039  17
44.73  2.026  13
48.69  1.870  11
49.78  1.832  22
50.40  1.810  28